La4InBiN: theoretical XRD peak list (Cu Kα, 1.54184 Å), based on a GGA-PBE-relaxed structure.
Neutral-atom scattering factors, no anomalous dispersion.

Largest 8 diffraction maxima, by angle, 10° ≤ 2θ ≤ 90°:
25.0 deg, d 3.567, rel. 22
27.1 deg, d 3.286, rel. 60
31.8 deg, d 2.810, rel. 35
32.9 deg, d 2.724, rel. 100
35.6 deg, d 2.523, rel. 59
48.5 deg, d 1.877, rel. 39
51.2 deg, d 1.784, rel. 21
62.2 deg, d 1.492, rel. 32

Structure:
abc: 9.1578 9.1578 7.1318
angles: 90.00 90.00 134.13
Fractional coordinates of all 14 atoms:
La 0.0000 0.5000 0.0000
La 0.0000 0.5000 0.5000
La 0.0880 0.9120 0.7500
La 0.4077 0.5923 0.7500
La 0.5000 0.0000 0.0000
La 0.5000 0.0000 0.5000
La 0.5923 0.4077 0.2500
La 0.9120 0.0880 0.2500
In 0.1111 0.8889 0.2500
In 0.8889 0.1111 0.7500
Bi 0.3932 0.6068 0.2500
Bi 0.6068 0.3932 0.7500
N 0.2483 0.7517 0.7500
N 0.7517 0.2483 0.2500